This entry pairs a crystal structure of Pa5Al with its calculated powder diffraction line list. Radiation: a wavelength of 1.5418 Å. Structure: the GGA-PBE geometry in Alexandria.

Structure:
a = 4.4673 Å, b = 13.8139 Å, c = 4.5745 Å
α = 90.00°, β = 90.00°, γ = 90.00°
Sites, in units of the cell vectors:
Pa: 0.0000 0.0000 0.0000
Pa: 0.0000 0.1634 0.5000
Pa: 0.0000 0.3397 0.0000
Pa: 0.0000 0.6603 0.0000
Pa: 0.0000 0.8366 0.5000
Pa: 0.5000 0.1603 0.0000
Pa: 0.5000 0.3366 0.5000
Pa: 0.5000 0.5000 0.0000
Pa: 0.5000 0.6634 0.5000
Pa: 0.5000 0.8397 0.0000
Al: 0.0000 0.5000 0.5000
Al: 0.5000 0.0000 0.5000

Largest 8 diffraction maxima, in order of falling intensity, 2θ = 10–80°:
| index | 2θ (°) | d [Å] | Rel. int. |
| --- | --- | --- | --- |
| 1 3 1 | 34.15 | 2.626 | 100 |
| 0 0 2 | 39.39 | 2.287 | 17 |
| 0 6 0 | 39.13 | 2.302 | 17 |
| 2 0 0 | 40.38 | 2.234 | 16 |
| 1 3 3 | 68.09 | 1.377 | 14 |
| 1 9 1 | 67.72 | 1.384 | 14 |
| 3 3 1 | 69.45 | 1.353 | 13 |
| 2 6 2 | 71.92 | 1.313 | 12 |